# Tb5Ir2
Theoretical powder diffractogram, Cu Ka. Input: a DFT-relaxed cell (PBE, the Materials Project).
Neutral-atom scattering factors, no anomalous dispersion.

Crystal structure
```
Tb5Ir2
1.0
7.9556 -3.2620 0.0000
7.9556 3.2620 0.0000
-0.8478 0.0000 7.1549
Tb Ir
10 4
Cartesian
7.3198 2.7959 5.3662
3.2378 0.4353 2.2761
2.8139 -0.4353 5.8535
6.4330 0.7834 0.5889
9.0544 0.7834 2.9886
6.0091 -0.7834 4.1663
8.6305 -0.7834 6.5660
12.2495 0.4353 1.3014
11.8256 -0.4353 4.8789
7.7437 -2.7959 1.7887
5.8405 1.8551 3.0551
9.6469 1.8551 0.5223
5.4166 -1.8551 6.6326
9.2230 -1.8551 4.0998
```

Main lines, by angle (10° ≤ 2θ ≤ 90°):
| 2θ (°) | I (rel.) |
| --- | --- |
| 19.67 | 56 |
| 30.11 | 43 |
| 31.46 | 58 |
| 31.68 | 100 |
| 32.75 | 39 |
| 34.76 | 39 |
| 35.17 | 48 |
| 35.74 | 86 |
| 40.03 | 86 |
| 52.68 | 37 |